Er2PdPb6: theoretical X-ray diffraction stick pattern (Cu Kα (λ = 1.5418 Å)), based on a cell relaxed with GGA-PBE.
Lines closer than 0.1° are merged.

The 12 most intense peaks (10 to 80 degrees two-theta), in order of falling intensity:
| d/Å | intensity | hkl |
| --- | --- | --- |
| 2.674 | 100 | 1 5 1 |
| 3.008 | 28 | 1 3 1 |
| 2.324 | 24 | 0 0 2 |
| 2.290 | 23 | 2 0 0 |
| 2.917 | 22 | 0 8 0 |
| 1.573 | 17 | 1 13 1 |
| 1.631 | 16 | 2 0 2 |
| 1.400 | 14 | 1 5 3 |
| 1.385 | 14 | 3 5 1 |
| 2.332 | 13 | 0 10 0 |
| 1.817 | 11 | 0 8 2 |
| 1.801 | 11 | 2 8 0 |

Atomic structure:
```
data_Er2PdPb6
_chemical_formula_sum 'Er4 Pd2 Pb12'
_cell_length_a 4.581
_cell_length_b 23.333
_cell_length_c 4.647
_cell_angle_alpha 90.00
_cell_angle_beta 90.00
_cell_angle_gamma 90.00
_symmetry_space_group_name_H-M 'C m m m'
_symmetry_Int_Tables_number 65
_symmetry_space_group_name_Hall '-C 2 2'
loop_
_atom_site_label
_atom_site_type_symbol
_atom_site_fract_x
_atom_site_fract_y
_atom_site_fract_z
Er1 Er 0.000 0.186 0.000
Pd1 Pd 0.000 0.500 0.500
Pb1 Pb 0.000 0.077 0.500
Pb2 Pb 0.000 0.299 0.500
Pb3 Pb 0.000 0.425 0.000
```